No. 1
# Sc3Si4Ni11
Theoretical powder X-ray diffraction pattern, Cu Kα (weighted mean of Kα1 and Kα2). Input: the GGA-PBE geometry in the Materials Project.
Kinematic intensities with the Lorentz-polarization factor, no thermal factor.

Peak list (8 most intense, 2θ from 15° to 90°, low angle first)
- d 5.298, rel. 35
- d 2.206, rel. 85
- d 2.158, rel. 100
- d 1.991, rel. 18
- d 1.983, rel. 80
- d 1.896, rel. 40
- d 1.790, rel. 19
- d 1.732, rel. 18

Crystal structure
```
data_Sc3Si4Ni11
_chemical_formula_sum 'Sc6 Si8 Ni22'
_cell_length_a 7.9320
_cell_length_b 7.9320
_cell_length_c 8.3231
_cell_angle_alpha 90.00
_cell_angle_beta 90.00
_cell_angle_gamma 120.00
_symmetry_space_group_name_H-M 'P 1'
_symmetry_Int_Tables_number 1
loop_
_symmetry_equiv_pos_as_xyz
'x,y,z'
loop_
_atom_site_label
_atom_site_fract_x
_atom_site_fract_y
_atom_site_fract_z
Sc1 0.1977 0.3953 0.2500
Sc2 0.1977 0.8023 0.2500
Sc3 0.3953 0.1977 0.7500
Sc4 0.6047 0.8023 0.2500
Sc5 0.8023 0.1977 0.7500
Sc6 0.8023 0.6047 0.7500
Si1 0.0000 0.0000 0.2500
Si2 0.0000 0.0000 0.7500
Si3 0.0000 0.5000 0.0000
Si4 0.0000 0.5000 0.5000
Si5 0.5000 0.0000 0.0000
Si6 0.5000 0.0000 0.5000
Si7 0.5000 0.5000 0.0000
Si8 0.5000 0.5000 0.5000
Ni1 0.1224 0.5612 0.7500
Ni2 0.1524 0.3048 0.5929
Ni3 0.1524 0.3048 0.9071
Ni4 0.1524 0.8476 0.5929
Ni5 0.1524 0.8476 0.9071
Ni6 0.3048 0.1524 0.0929
Ni7 0.3048 0.1524 0.4071
Ni8 0.3333 0.6667 0.0033
Ni9 0.3333 0.6667 0.4967
Ni10 0.4388 0.5612 0.7500
Ni11 0.4388 0.8776 0.7500
Ni12 0.5612 0.1224 0.2500
Ni13 0.5612 0.4388 0.2500
Ni14 0.6667 0.3333 0.5033
Ni15 0.6667 0.3333 0.9967
Ni16 0.6952 0.8476 0.5929
Ni17 0.6952 0.8476 0.9071
Ni18 0.8476 0.1524 0.0929
Ni19 0.8476 0.1524 0.4071
Ni20 0.8476 0.6952 0.0929
Ni21 0.8476 0.6952 0.4071
Ni22 0.8776 0.4388 0.2500
```

=====

No. 2
# Cs2PtCl4
Theoretical powder X-ray diffraction pattern, Cu Kα (weighted mean of Kα1 and Kα2). Input: the GGA-PBE geometry in the Materials Project.
Kinematic intensities with the Lorentz-polarization factor, no thermal factor.

Peak list (8 most intense, 2θ from 15° to 90°, low angle first)
- d 4.061, rel. 32
- d 3.763, rel. 26
- d 3.574, rel. 100
- d 2.661, rel. 36
- d 2.411, rel. 15
- d 2.134, rel. 44
- d 1.787, rel. 21
- d 1.412, rel. 14

Crystal structure
```
data_Cs2PtCl4
_chemical_formula_sum 'Cs4 Pt2 Cl8'
_cell_length_a 7.5269
_cell_length_b 7.5269
_cell_length_c 9.6449
_cell_angle_alpha 90.00
_cell_angle_beta 90.00
_cell_angle_gamma 90.06
_symmetry_space_group_name_H-M 'P 1'
_symmetry_Int_Tables_number 1
loop_
_symmetry_equiv_pos_as_xyz
'x,y,z'
loop_
_atom_site_label
_atom_site_fract_x
_atom_site_fract_y
_atom_site_fract_z
Cs1 0.0057 0.5052 0.7500
Cs2 0.4948 0.9943 0.7500
Cs3 0.5052 0.0057 0.2500
Cs4 0.9943 0.4948 0.2500
Pt1 0.0000 0.0000 0.0000
Pt2 0.0000 0.0000 0.5000
Cl1 0.2191 0.2191 0.0000
Cl2 0.2191 0.2191 0.5000
Cl3 0.2188 0.7812 0.0076
Cl4 0.2188 0.7812 0.4924
Cl5 0.7812 0.2188 0.5076
Cl6 0.7812 0.2188 0.9924
Cl7 0.7809 0.7809 0.0000
Cl8 0.7809 0.7809 0.5000
```

=====

No. 3
# SbAs
Theoretical powder X-ray diffraction pattern, Cu Kα (weighted mean of Kα1 and Kα2). Input: the GGA-PBE geometry in the Materials Project.
Kinematic intensities with the Lorentz-polarization factor, no thermal factor.

Peak list (8 most intense, 2θ from 15° to 90°, low angle first)
- d 3.682, rel. 11
- d 2.991, rel. 100
- d 2.181, rel. 34
- d 2.054, rel. 36
- d 1.877, rel. 10
- d 1.693, rel. 18
- d 1.371, rel. 11
- d 1.307, rel. 15

Crystal structure
```
data_SbAs
_chemical_formula_sum 'Sb1 As1'
_cell_length_a 4.3796
_cell_length_b 4.3796
_cell_length_c 4.3796
_cell_angle_alpha 55.95
_cell_angle_beta 55.95
_cell_angle_gamma 55.95
_symmetry_space_group_name_H-M 'P 1'
_symmetry_Int_Tables_number 1
loop_
_symmetry_equiv_pos_as_xyz
'x,y,z'
loop_
_atom_site_label
_atom_site_fract_x
_atom_site_fract_y
_atom_site_fract_z
Sb1 0.0000 0.0000 0.0000
As1 0.4603 0.4603 0.4603
```

=====

No. 4
# ErAu3
Theoretical powder X-ray diffraction pattern, Cu Kα (weighted mean of Kα1 and Kα2). Input: the GGA-PBE geometry in the Materials Project.
Kinematic intensities with the Lorentz-polarization factor, no thermal factor.

Peak list (8 most intense, 2θ from 15° to 90°, low angle first)
- d 2.631, rel. 31
- d 2.519, rel. 45
- d 2.332, rel. 100
- d 2.298, rel. 58
- d 1.820, rel. 21
- d 1.416, rel. 21
- d 1.289, rel. 22
- d 1.273, rel. 18

Crystal structure
```
data_ErAu3
_chemical_formula_sum 'Er2 Au6'
_cell_length_a 5.0389
_cell_length_b 6.1154
_cell_length_c 5.1632
_cell_angle_alpha 90.00
_cell_angle_beta 90.00
_cell_angle_gamma 90.00
_symmetry_space_group_name_H-M 'P 1'
_symmetry_Int_Tables_number 1
loop_
_symmetry_equiv_pos_as_xyz
'x,y,z'
loop_
_atom_site_label
_atom_site_fract_x
_atom_site_fract_y
_atom_site_fract_z
Er1 0.2500 0.2500 0.1546
Er2 0.7500 0.7500 0.8454
Au1 0.2500 0.5030 0.6573
Au2 0.2500 0.7500 0.1579
Au3 0.2500 0.9970 0.6573
Au4 0.7500 0.0030 0.3427
Au5 0.7500 0.2500 0.8421
Au6 0.7500 0.4970 0.3427
```

=====

No. 5
# LiFeAs
Theoretical powder X-ray diffraction pattern, Cu Kα (weighted mean of Kα1 and Kα2). Input: the GGA-PBE geometry in the Materials Project.
Kinematic intensities with the Lorentz-polarization factor, no thermal factor.

Peak list (8 most intense, 2θ from 15° to 90°, low angle first)
- d 3.221, rel. 100
- d 2.454, rel. 23
- d 2.014, rel. 92
- d 1.895, rel. 41
- d 1.794, rel. 17
- d 1.633, rel. 27
- d 1.621, rel. 18
- d 1.116, rel. 25

Crystal structure
```
data_LiFeAs
_chemical_formula_sum 'Li2 Fe2 As2'
_cell_length_a 3.7906
_cell_length_b 3.7906
_cell_length_c 6.1075
_cell_angle_alpha 90.00
_cell_angle_beta 90.00
_cell_angle_gamma 90.00
_symmetry_space_group_name_H-M 'P 1'
_symmetry_Int_Tables_number 1
loop_
_symmetry_equiv_pos_as_xyz
'x,y,z'
loop_
_atom_site_label
_atom_site_fract_x
_atom_site_fract_y
_atom_site_fract_z
Li1 0.2500 0.2500 0.1690
Li2 0.7500 0.7500 0.8310
Fe1 0.2500 0.7500 0.5000
Fe2 0.7500 0.2500 0.5000
As1 0.2500 0.2500 0.7257
As2 0.7500 0.7500 0.2743
```

=====

No. 6
# BaEu2PdO5
Theoretical powder X-ray diffraction pattern, Cu Kα (weighted mean of Kα1 and Kα2). Input: the GGA-PBE geometry in the Materials Project.
Kinematic intensities with the Lorentz-polarization factor, no thermal factor.

Peak list (8 most intense, 2θ from 15° to 90°, low angle first)
- d 3.032, rel. 18
- d 2.965, rel. 38
- d 2.943, rel. 100
- d 2.699, rel. 47
- d 2.397, rel. 23
- d 2.120, rel. 35
- d 1.864, rel. 21
- d 1.708, rel. 20

Crystal structure
```
data_BaEu2PdO5
_chemical_formula_sum 'Ba2 Eu4 Pd2 O10'
_cell_length_a 6.7787
_cell_length_b 6.7787
_cell_length_c 5.9305
_cell_angle_alpha 90.00
_cell_angle_beta 90.00
_cell_angle_gamma 90.00
_symmetry_space_group_name_H-M 'P 1'
_symmetry_Int_Tables_number 1
loop_
_symmetry_equiv_pos_as_xyz
'x,y,z'
loop_
_atom_site_label
_atom_site_fract_x
_atom_site_fract_y
_atom_site_fract_z
Ba1 0.0000 0.0000 0.0000
Ba2 0.5000 0.5000 0.0000
Eu1 0.1755 0.3245 0.5000
Eu2 0.3245 0.8245 0.5000
Eu3 0.6755 0.1755 0.5000
Eu4 0.8245 0.6755 0.5000
Pd1 0.0000 0.5000 0.0000
Pd2 0.5000 0.0000 0.0000
O1 0.0000 0.0000 0.5000
O2 0.1401 0.6401 0.2498
O3 0.1401 0.6401 0.7502
O4 0.3599 0.1401 0.2498
O5 0.3599 0.1401 0.7502
O6 0.5000 0.5000 0.5000
O7 0.6401 0.8599 0.2498
O8 0.6401 0.8599 0.7502
O9 0.8599 0.3599 0.2498
O10 0.8599 0.3599 0.7502
```

=====

No. 7
# DyZn3
Theoretical powder X-ray diffraction pattern, Cu Kα (weighted mean of Kα1 and Kα2). Input: the GGA-PBE geometry in the Materials Project.
Kinematic intensities with the Lorentz-polarization factor, no thermal factor.

Peak list (8 most intense, 2θ from 15° to 90°, low angle first)
- d 4.027, rel. 17
- d 2.573, rel. 87
- d 2.481, rel. 100
- d 2.362, rel. 23
- d 2.194, rel. 41
- d 2.087, rel. 18
- d 2.040, rel. 21
- d 1.494, rel. 16

Crystal structure
```
data_DyZn3
_chemical_formula_sum 'Dy4 Zn12'
_cell_length_a 6.6909
_cell_length_b 4.3872
_cell_length_c 10.0999
_cell_angle_alpha 90.00
_cell_angle_beta 90.00
_cell_angle_gamma 90.00
_symmetry_space_group_name_H-M 'P 1'
_symmetry_Int_Tables_number 1
loop_
_symmetry_equiv_pos_as_xyz
'x,y,z'
loop_
_atom_site_label
_atom_site_fract_x
_atom_site_fract_y
_atom_site_fract_z
Dy1 0.2233 0.2500 0.1618
Dy2 0.2767 0.7500 0.6618
Dy3 0.7233 0.2500 0.3382
Dy4 0.7767 0.7500 0.8382
Zn1 0.0385 0.7500 0.3932
Zn2 0.0794 0.2500 0.8542
Zn3 0.2207 0.7500 0.9567
Zn4 0.2793 0.2500 0.4567
Zn5 0.4206 0.7500 0.3542
Zn6 0.4615 0.2500 0.8932
Zn7 0.5385 0.7500 0.1068
Zn8 0.5794 0.2500 0.6458
Zn9 0.7207 0.7500 0.5433
Zn10 0.7793 0.2500 0.0433
Zn11 0.9206 0.7500 0.1458
Zn12 0.9615 0.2500 0.6068
```

=====

No. 8
# Pr3Nd
Theoretical powder X-ray diffraction pattern, Cu Kα (weighted mean of Kα1 and Kα2). Input: the GGA-PBE geometry in the Materials Project.
Kinematic intensities with the Lorentz-polarization factor, no thermal factor.

Peak list (8 most intense, 2θ from 15° to 90°, low angle first)
- d 3.039, rel. 100
- d 2.632, rel. 51
- d 1.861, rel. 37
- d 1.587, rel. 44
- d 1.520, rel. 13
- d 1.316, rel. 6
- d 1.208, rel. 18
- d 1.177, rel. 16

Crystal structure
```
data_Pr3Nd
_chemical_formula_sum 'Pr3 Nd1'
_cell_length_a 6.4492
_cell_length_b 6.4492
_cell_length_c 6.4492
_cell_angle_alpha 131.83
_cell_angle_beta 131.83
_cell_angle_gamma 70.49
_symmetry_space_group_name_H-M 'P 1'
_symmetry_Int_Tables_number 1
loop_
_symmetry_equiv_pos_as_xyz
'x,y,z'
loop_
_atom_site_label
_atom_site_fract_x
_atom_site_fract_y
_atom_site_fract_z
Pr1 0.0000 0.0000 0.0000
Pr2 0.2500 0.7500 0.5000
Pr3 0.7500 0.2500 0.5000
Nd1 0.5000 0.5000 0.0000
```

=====

No. 9
# AsRhO4
Theoretical powder X-ray diffraction pattern, Cu Kα (weighted mean of Kα1 and Kα2). Input: the GGA-PBE geometry in the Materials Project.
Kinematic intensities with the Lorentz-polarization factor, no thermal factor.

Peak list (8 most intense, 2θ from 15° to 90°, low angle first)
- d 3.246, rel. 72
- d 3.166, rel. 63
- d 2.533, rel. 100
- d 2.267, rel. 25
- d 1.701, rel. 46
- d 1.678, rel. 40
- d 1.583, rel. 11
- d 1.354, rel. 26

Crystal structure
```
data_AsRhO4
_chemical_formula_sum 'As1 Rh1 O4'
_cell_length_a 4.5345
_cell_length_b 4.5345
_cell_length_c 3.0549
_cell_angle_alpha 90.00
_cell_angle_beta 90.00
_cell_angle_gamma 91.42
_symmetry_space_group_name_H-M 'P 1'
_symmetry_Int_Tables_number 1
loop_
_symmetry_equiv_pos_as_xyz
'x,y,z'
loop_
_atom_site_label
_atom_site_fract_x
_atom_site_fract_y
_atom_site_fract_z
As1 0.0000 0.0000 0.0000
Rh1 0.5000 0.5000 0.5000
O1 0.1848 0.8152 0.5000
O2 0.2917 0.2917 0.0000
O3 0.7083 0.7083 0.0000
O4 0.8152 0.1848 0.5000
```